This entry pairs a crystal structure of Na5B8C2 with its computed XRD peak list. Radiation: Cu Kα (weighted mean of Kα1 and Kα2). Structure: the GGA-PBE geometry in Alexandria.

Peak list (10 most intense, 10° ≤ 2θ ≤ 90°, by angle)
2θ = 33.9°, intensity 13, hkl 2 -1 0; 2θ = 36.1°, intensity 17, hkl 1 2 -1; 2θ = 40.0°, intensity 50, hkl 2 -1 2; 2θ = 41.6°, intensity 38, hkl 0 0 4; 2θ = 41.9°, intensity 100, hkl 1 2 1; 2θ = 56.3°, intensity 9, hkl 1 2 -5; 2θ = 62.2°, intensity 18, hkl 3 1 -1; 2θ = 76.2°, intensity 13, hkl 1 2 5; 2θ = 77.6°, intensity 17, hkl 3 1 3; 2θ = 80.4°, intensity 9, hkl 2 4 -4

Structure:
```
data_Na5B8C2
_cell_length_a 5.2818
_cell_length_b 7.5225
_cell_length_c 9.1225
_cell_angle_alpha 106.79
_cell_angle_beta 90.02
_cell_angle_gamma 110.54
_symmetry_space_group_name_H-M 'P 1'
_symmetry_Int_Tables_number 1
loop_
_symmetry_equiv_pos_as_xyz
'x,y,z'
loop_
_atom_site_label
_atom_site_type_symbol
_atom_site_fract_x
_atom_site_fract_y
_atom_site_fract_z
Na1 Na 0.0000 0.0000 0.0000
Na2 Na 0.1003 0.2010 0.4998
Na3 Na 0.1991 0.4024 0.0039
Na4 Na 0.3002 0.6004 0.5002
Na5 Na 0.3978 0.7976 0.9934
Na6 Na 0.5000 0.0000 0.5000
Na7 Na 0.6022 0.2024 0.0066
Na8 Na 0.6998 0.3996 0.4998
Na9 Na 0.8009 0.5976 0.9961
Na10 Na 0.8997 0.7990 0.5002
B1 B 0.0102 0.7108 0.7501
B2 B 0.0743 0.4920 0.7500
B3 B 0.1301 0.8998 0.2498
B4 B 0.1987 0.1006 0.7498
B5 B 0.3178 0.2924 0.2500
B6 B 0.3233 0.9103 0.7501
B7 B 0.3988 0.4886 0.7500
B8 B 0.4862 0.7098 0.2501
B9 B 0.5138 0.2902 0.7499
B10 B 0.6012 0.5114 0.2500
B11 B 0.6767 0.0897 0.2499
B12 B 0.6822 0.7076 0.7500
B13 B 0.8013 0.8994 0.2502
B14 B 0.8699 0.1002 0.7502
B15 B 0.9257 0.5080 0.2500
B16 B 0.9898 0.2892 0.2499
C1 C 0.1888 0.7041 0.2502
C2 C 0.3847 0.0960 0.2498
C3 C 0.6153 0.9040 0.7502
C4 C 0.8112 0.2959 0.7498
```